Starting from DFT lattice parameters and positions (GGA-PBE), the X-ray diffraction stick pattern of Ba5Al3F19 was computed for Cu Kα, 1.54184 Å.

Largest 12 diffraction maxima, in order of falling intensity, 10 to 90 degrees two-theta:
| 2θ (°) | I_rel |
| --- | --- |
| 27.45 | 100.0 |
| 24.63 | 73.7 |
| 26.89 | 64.3 |
| 29.07 | 62.6 |
| 43.76 | 61.2 |
| 39.04 | 50.7 |
| 26.41 | 40.5 |
| 40.75 | 30.0 |
| 23.47 | 29.2 |
| 41.96 | 28.9 |
| 42.83 | 27.7 |
| 24.01 | 26.8 |

Crystal structure
```
Ba5Al3F19
1.0
-7.413 7.413 3.791
7.413 -7.413 3.791
7.413 7.413 -3.791
Ba Al F
10 6 38
direct
0.056 0.216 0.271 Ba
0.216 0.944 0.160 Ba
0.250 0.750 0.500 Ba
0.259 0.416 0.675 Ba
0.416 0.741 0.157 Ba
0.584 0.259 0.843 Ba
0.741 0.584 0.325 Ba
0.750 0.250 0.500 Ba
0.784 0.056 0.840 Ba
0.944 0.784 0.729 Ba
0.177 0.659 0.836 Al
0.253 0.253 0.000 Al
0.341 0.177 0.519 Al
0.659 0.823 0.481 Al
0.747 0.747 0.000 Al
0.823 0.341 0.164 Al
0.000 0.000 0.000 F
0.072 0.470 0.206 F
0.076 0.385 0.461 F
0.089 0.446 0.867 F
0.121 0.549 0.670 F
0.130 0.196 0.841 F
0.134 0.928 0.398 F
0.196 0.355 0.066 F
0.222 0.089 0.643 F
0.235 0.237 0.472 F
0.237 0.765 0.002 F
0.264 0.866 0.794 F
0.289 0.130 0.934 F
0.355 0.289 0.159 F
0.385 0.924 0.309 F
0.421 0.778 0.867 F
0.446 0.579 0.357 F
0.451 0.121 0.571 F
0.470 0.264 0.398 F
0.500 0.500 0.000 F
0.530 0.736 0.602 F
0.549 0.879 0.429 F
0.554 0.421 0.643 F
0.579 0.222 0.133 F
0.615 0.076 0.691 F
0.645 0.711 0.841 F
0.711 0.870 0.066 F
0.736 0.134 0.206 F
0.763 0.235 0.998 F
0.765 0.763 0.528 F
0.778 0.911 0.357 F
0.804 0.645 0.934 F
0.866 0.072 0.602 F
0.870 0.804 0.159 F
0.879 0.451 0.330 F
0.911 0.554 0.133 F
0.924 0.615 0.539 F
0.928 0.530 0.794 F
```